This entry pairs a crystal structure of CrTc3 with its calculated PXRD pattern. Radiation: Cu Kα. Structure: the PBE geometry in Alexandria.

Structure:
Lattice parameters (Å, degrees): 4.8323 4.8323 4.8323 90.00 90.00 90.00
Space group Pm-3n (No. 223)
Symmetry-distinct sites (fractional):
Cr  0.0000  0.0000  0.0000 [2 per cell]
Tc  0.0000  0.2500  0.5000 [6 per cell]

Largest 7 diffraction maxima, in order of rising 2θ, 2θ = 5–70°:
- 2θ 26.1, I = 9, hkl 1 1 0
- 2θ 37.2, I = 20, hkl 2 0 0
- 2θ 41.8, I = 100, hkl 2 1 0
- 2θ 46.0, I = 44, hkl 2 1 1
- 2θ 53.6, I = 1, hkl 2 2 0
- 2θ 60.6, I = 2, hkl 3 1 0
- 2θ 67.1, I = 12, hkl 2 2 2